Theoretical powder XRD pattern of ErNiRh for Cu Kα, from the GGA-PBE geometry in Alexandria.

Main lines, in order of falling intensity (2θ from 10° to 90°):
Position (°2θ), I/Imax
39.9, 100.0
34.7, 78.5
41.6, 77.6
41.3, 39.9
73.1, 35.7
40.7, 34.2
35.9, 27.8
43.9, 24.2
67.2, 21.3
60.3, 16.1

Structure:
abc: 5.183 5.183 5.183
angles: 122.24 117.25 90.49
Element x y z (fractional)
Er (0.370, 0.120, 0.250)
Er (0.630, 0.880, 0.750)
Ni (0.000, 0.000, 0.500)
Ni (0.000, 0.500, 0.000)
Rh (0.000, 0.500, 0.500)
Rh (0.500, 0.500, 0.000)


Theoretical powder XRD pattern of ErNi5Rh for Cu Kα, from the GGA-PBE geometry in Alexandria.

Main lines, in order of falling intensity (2θ from 10° to 90°):
Position (°2θ), I/Imax
40.2, 100.0
38.1, 35.5
47.3, 32.5
37.1, 23.4
48.0, 20.8
44.9, 19.3
69.0, 18.9
32.8, 15.9
43.9, 15.4
41.5, 13.0

Structure:
abc: 7.851 4.848 9.899
angles: 90.00 90.00 90.00
Element x y z (fractional)
Er (0.244, 0.250, 0.061)
Er (0.256, 0.750, 0.561)
Er (0.744, 0.250, 0.439)
Er (0.756, 0.750, 0.939)
Ni (0.061, 0.750, 0.096)
Ni (0.070, 0.004, 0.311)
Ni (0.070, 0.496, 0.311)
Ni (0.098, 0.250, 0.520)
Ni (0.181, 0.250, 0.755)
Ni (0.319, 0.750, 0.255)
Ni (0.402, 0.750, 0.020)
Ni (0.430, 0.504, 0.811)
Ni (0.430, 0.996, 0.811)
Ni (0.439, 0.250, 0.596)
Ni (0.561, 0.750, 0.404)
Ni (0.570, 0.004, 0.189)
Ni (0.570, 0.496, 0.189)
Ni (0.598, 0.250, 0.980)
Ni (0.681, 0.250, 0.745)
Ni (0.819, 0.750, 0.245)
Ni (0.902, 0.750, 0.480)
Ni (0.930, 0.504, 0.689)
Ni (0.930, 0.996, 0.689)
Ni (0.939, 0.250, 0.904)
Rh (0.142, 0.750, 0.854)
Rh (0.358, 0.250, 0.354)
Rh (0.642, 0.750, 0.646)
Rh (0.858, 0.250, 0.146)


Theoretical powder XRD pattern of Er7Ni2Rh2 for Cu Kα, from the GGA-PBE geometry in Alexandria.

Main lines, in order of falling intensity (2θ from 10° to 90°):
Position (°2θ), I/Imax
38.6, 100.0
27.9, 62.1
35.2, 52.0
29.7, 34.4
25.4, 33.5
44.2, 28.9
39.0, 28.3
57.7, 24.5
65.5, 17.7
34.2, 17.7

Structure:
abc: 6.539 6.539 6.816
angles: 90.00 90.00 102.40
Element x y z (fractional)
Er (0.000, 0.000, 0.000)
Er (0.000, 0.500, 0.262)
Er (0.000, 0.500, 0.738)
Er (0.500, 0.000, 0.262)
Er (0.500, 0.000, 0.738)
Er (0.500, 0.500, 0.260)
Er (0.500, 0.500, 0.740)
Ni (0.231, 0.231, 0.500)
Ni (0.769, 0.769, 0.500)
Rh (0.278, 0.722, 0.000)
Rh (0.722, 0.278, 0.000)


Theoretical powder XRD pattern of Er3NiRh8 for Cu Kα, from the GGA-PBE geometry in Alexandria.

Main lines, in order of falling intensity (2θ from 10° to 90°):
Position (°2θ), I/Imax
40.2, 100.0
42.1, 32.4
65.1, 29.1
40.1, 28.7
34.1, 25.3
34.0, 20.6
71.8, 17.8
71.5, 12.5
61.0, 12.3
41.9, 10.8

Structure:
abc: 9.151 9.151 9.151
angles: 33.40 33.40 33.40
Element x y z (fractional)
Er (0.000, 0.000, 0.000)
Er (0.131, 0.131, 0.131)
Er (0.519, 0.519, 0.519)
Ni (0.650, 0.650, 0.650)
Rh (0.069, 0.568, 0.568)
Rh (0.070, 0.070, 0.569)
Rh (0.070, 0.569, 0.070)
Rh (0.318, 0.318, 0.318)
Rh (0.568, 0.069, 0.568)
Rh (0.568, 0.568, 0.069)
Rh (0.569, 0.070, 0.070)
Rh (0.819, 0.819, 0.819)


Theoretical powder XRD pattern of YErNiRh for Cu Kα, from the GGA-PBE geometry in Alexandria.

Main lines, in order of falling intensity (2θ from 10° to 90°):
Position (°2θ), I/Imax
33.2, 100.0
41.3, 56.1
34.9, 30.4
67.0, 26.5
34.1, 24.9
43.8, 24.7
40.7, 23.2
57.1, 22.5
16.9, 20.6
48.0, 18.8

Structure:
abc: 4.135 5.590 5.590
angles: 39.60 90.00 90.00
Element x y z (fractional)
Y (0.000, 0.000, 0.000)
Er (0.500, 0.717, 0.717)
Ni (0.500, 0.435, 0.435)
Rh (0.000, 0.278, 0.278)


Theoretical powder XRD pattern of Er10NiSb5 for Cu Kα, from the GGA-PBE geometry in Alexandria.

Main lines, in order of falling intensity (2θ from 10° to 90°):
Position (°2θ), I/Imax
32.0, 100.0
30.9, 93.2
33.6, 69.1
32.3, 63.2
35.0, 45.5
39.4, 37.8
36.1, 31.0
51.8, 28.7
51.8, 23.3
27.1, 22.5

Structure:
abc: 9.141 7.892 11.843
angles: 90.00 90.00 90.00
Element x y z (fractional)
Er (0.000, 0.076, 0.000)
Er (0.000, 0.233, 0.280)
Er (0.000, 0.407, 0.559)
Er (0.000, 0.593, 0.059)
Er (0.000, 0.767, 0.780)
Er (0.000, 0.924, 0.500)
Er (0.221, 0.432, 0.841)
Er (0.221, 0.568, 0.341)
Er (0.316, 0.064, 0.710)
Er (0.316, 0.936, 0.210)
Er (0.500, 0.120, 0.972)
Er (0.500, 0.299, 0.276)
Er (0.500, 0.407, 0.569)
Er (0.500, 0.593, 0.069)
Er (0.500, 0.701, 0.776)
Er (0.500, 0.880, 0.472)
Er (0.684, 0.064, 0.710)
Er (0.684, 0.936, 0.210)
Er (0.779, 0.432, 0.841)
Er (0.779, 0.568, 0.341)
Ni (0.500, 0.329, 0.789)
Ni (0.500, 0.671, 0.289)
Sb (0.000, 0.157, 0.749)
Sb (0.000, 0.843, 0.249)
Sb (0.241, 0.316, 0.103)
Sb (0.241, 0.684, 0.603)
Sb (0.258, 0.182, 0.448)
Sb (0.258, 0.818, 0.948)
Sb (0.742, 0.182, 0.448)
Sb (0.742, 0.818, 0.948)
Sb (0.759, 0.316, 0.103)
Sb (0.759, 0.684, 0.603)


Theoretical powder XRD pattern of Er3Sc4Ni4 for Cu Kα, from the GGA-PBE geometry in Alexandria.

Main lines, in order of falling intensity (2θ from 10° to 90°):
Position (°2θ), I/Imax
33.6, 100.0
36.3, 99.6
31.6, 43.3
21.3, 34.2
36.9, 34.0
66.7, 23.1
44.3, 18.4
51.2, 18.1
11.8, 17.3
48.0, 16.9

Structure:
abc: 8.787 8.787 8.787
angles: 156.56 123.29 62.20
Element x y z (fractional)
Er (0.000, 0.000, 0.000)
Er (0.394, 0.894, 0.500)
Er (0.606, 0.106, 0.500)
Sc (0.016, 0.333, 0.684)
Sc (0.351, 0.667, 0.684)
Sc (0.649, 0.333, 0.316)
Sc (0.984, 0.667, 0.316)
Ni (0.244, 0.244, 0.000)
Ni (0.299, 0.500, 0.799)
Ni (0.701, 0.500, 0.201)
Ni (0.756, 0.756, 0.000)


Theoretical powder XRD pattern of Er2ScNi2 for Cu Kα, from the GGA-PBE geometry in Alexandria.

Main lines, in order of falling intensity (2θ from 10° to 90°):
Position (°2θ), I/Imax
30.0, 100.0
38.1, 69.4
36.1, 39.2
33.5, 38.8
42.8, 24.9
55.2, 23.5
65.6, 21.3
63.0, 18.2
23.7, 17.9
37.7, 17.7

Structure:
abc: 7.469 7.469 5.350
angles: 90.00 90.00 135.26
Element x y z (fractional)
Er (0.080, 0.920, 0.750)
Er (0.282, 0.718, 0.250)
Er (0.718, 0.282, 0.750)
Er (0.920, 0.080, 0.250)
Sc (0.500, 0.500, 0.000)
Sc (0.500, 0.500, 0.500)
Ni (0.116, 0.353, 0.750)
Ni (0.353, 0.116, 0.250)
Ni (0.647, 0.884, 0.750)
Ni (0.884, 0.647, 0.250)